Theoretical XRD peak list of V4OF11 for Cu Kα X-rays, from a crystal structure in Alexandria, relaxed with GGA+U.
Lines closer than 0.1° are merged.

Crystal structure
```
V4OF11
1.0
5.273 0.000 0.000
2.626 4.784 0.000
2.534 0.985 17.264
V O F
8 2 22
direct
0.000 0.000 0.000 V
0.109 0.143 0.627 V
0.219 0.273 0.243 V
0.362 0.409 0.881 V
0.481 0.517 0.501 V
0.623 0.628 0.127 V
0.736 0.769 0.753 V
0.855 0.891 0.374 V
0.002 0.421 0.171 O
0.268 0.679 0.936 O
0.021 0.461 0.688 F
0.039 0.038 0.288 F
0.195 0.827 0.565 F
0.216 0.207 0.962 F
0.226 0.847 0.089 F
0.240 0.683 0.415 F
0.270 0.302 0.538 F
0.454 0.469 0.214 F
0.461 0.084 0.817 F
0.478 0.101 0.331 F
0.498 0.934 0.665 F
0.525 0.550 0.789 F
0.528 0.949 0.188 F
0.687 0.736 0.463 F
0.705 0.326 0.063 F
0.721 0.353 0.589 F
0.758 0.170 0.913 F
0.766 0.207 0.437 F
0.776 0.800 0.040 F
0.953 0.980 0.716 F
0.959 0.558 0.317 F
0.983 0.580 0.839 F
```

Largest 6 diffraction maxima, in order of rising 2θ, 10° ≤ 2θ ≤ 90°:
| Position (°2θ) | I_rel | (hkl) |
| --- | --- | --- |
| 23.5 | 100 | 1 0 3 |
| 32.8 | 14 | 1 -1 0 |
| 39.5 | 13 | 2 2 0 |
| 48.1 | 14 | 2 0 6 |
| 53.3 | 16 | 2 3 -1 |
| 53.4 | 9 | 1 3 4 |